Diffraction record for Li7Mn5O12. The PXRD pattern is theoretical, not measured: it uses a DFT-relaxed cell (GGA+U, Alexandria) and Cu Kα (λ = 1.5418 Å).
Lines closer than 0.1° are merged.

Peak list (8 most intense, 10 to 90 degrees two-theta, low angle first)
2θ = 18.35°, intensity 100.0, (1 0 1); 2θ = 34.29°, intensity 16.0, (1 2 0); 2θ = 36.18°, intensity 23.2, (1 0 -2); 2θ = 41.33°, intensity 33.6, (2 2 1); 2θ = 44.08°, intensity 27.6, (0 0 3); 2θ = 44.19°, intensity 27.5, (2 -2 0); 2θ = 61.79°, intensity 8.2, (0 4 1); 2θ = 61.91°, intensity 8.2, (2 2 -2)

Atomic structure:
Lattice parameters (Å, degrees): 5.964 6.018 6.532 76.40 75.62 86.35
Space group P-1 (No. 2)
Asymmetric unit:
Li 0.000 0.000 0.000
Li 0.000 0.500 0.000
Li 0.334 0.340 0.671
Li 0.336 0.823 0.682
Li 0.500 0.500 0.000
Mn 0.174 0.175 0.329
Mn 0.174 0.668 0.334
Mn 0.500 0.000 0.000
O 0.066 0.089 0.648
O 0.079 0.601 0.661
O 0.256 0.234 0.013
O 0.270 0.771 0.020
O 0.392 0.418 0.341
O 0.422 0.944 0.314